# Tb12Er2Tm
Theoretical powder XRD pattern, copper Kα. Input: a cell relaxed with PBE.
Kinematic intensities with the Lorentz-polarization factor, no thermal factor.

Top 10 peaks for 2θ = 10–80°, in order of rising 2θ:
| index | d [Å] | I/Imax |
| --- | --- | --- |
| 1 -1 4 | 2.953 | 32.2 |
| 0 2 4 | 2.805 | 84.4 |
| 2 2 1 | 2.796 | 57.9 |
| 1 1 8 | 2.774 | 100.0 |
| 2 0 4 | 2.680 | 18.3 |
| 2 0 -5 | 2.541 | 25.1 |
| 3 1 5 | 2.030 | 22.2 |
| 4 2 -2 | 1.616 | 16.1 |
| 4 0 0 | 1.498 | 17.8 |
| -1 3 9 | 1.495 | 23.1 |

Cell and atoms:
```
data_Tb12Er2Tm
_space_group_name_H-M_alt 'P -1'
_space_group_IT_number 2
_cell_length_a 6.623
_cell_length_b 6.623
_cell_length_c 24.181
_cell_angle_alpha 82.19
_cell_angle_beta 86.68
_cell_angle_gamma 64.80
loop_
_space_group_symop_operation_xyz
'x,y,z'
'-x,-y,-z'
loop_
_atom_site_label
_atom_site_fract_x
_atom_site_fract_y
_atom_site_fract_z
Tb1 0.001 0.341 0.323
Tb2 0.011 0.480 0.065
Tb3 0.249 0.155 0.190
Tb4 0.249 0.678 0.145
Tb5 0.250 0.021 0.458
Tb6 0.250 0.478 0.542
Tb7 0.250 0.549 0.401
Tb8 0.250 0.950 0.600
Tb9 0.251 0.344 0.810
Tb10 0.251 0.818 0.863
Tb11 0.487 0.957 0.064
Tb12 0.498 0.838 0.323
Er1 0.004 0.134 0.725
Er2 0.498 0.640 0.725
Tm1 0.000 0.000 0.000
Tm2 0.500 0.500 0.000
```